(1)
Diffraction record for Rb2ScMoO6. The powder diffraction line list is theoretical, not measured: it uses a crystal structure in Alexandria, relaxed with PBE+U and Cu Kα (weighted mean of Kα1 and Kα2).

Cell and atoms:
Cell lengths 6.4241, 6.4241, 5.5126 Å; angles 90.00, 90.00, 120.00 degrees
Fractional coordinates of all 10 atoms:
Rb 0.3333 0.6667 0.1656
Rb 0.6667 0.3333 0.8344
Sc 0.0000 0.0000 0.5000
Mo 0.0000 0.0000 0.0000
O 0.1356 0.2711 0.7762
O 0.1356 0.8644 0.7762
O 0.2711 0.1356 0.2238
O 0.7289 0.8644 0.7762
O 0.8644 0.1356 0.2238
O 0.8644 0.7289 0.2238

Principal peaks in the range 10° ≤ 2θ ≤ 90°, by intensity:
2θ = 27.77°, rel. 100
2θ = 22.71°, rel. 48
2θ = 15.93°, rel. 47
2θ = 36.17°, rel. 47
2θ = 36.38°, rel. 42
2θ = 46.38°, rel. 39
2θ = 54.92°, rel. 36
2θ = 16.08°, rel. 36
2θ = 32.26°, rel. 30
2θ = 57.37°, rel. 19



(2)
Diffraction record for Rb2Mo3SeO12. The powder diffraction line list is theoretical, not measured: it uses a crystal structure in Alexandria, relaxed with PBE+U and Cu Kα (weighted mean of Kα1 and Kα2).

Cell and atoms:
Cell lengths 7.3888, 7.3888, 12.5209 Å; angles 90.00, 90.00, 120.00 degrees
Fractional coordinates of all 36 atoms:
Rb 0.3333 0.6667 0.0000
Rb 0.3333 0.6667 0.3896
Rb 0.6667 0.3333 0.5000
Rb 0.6667 0.3333 0.8896
Mo 0.1409 0.3393 0.6699
Mo 0.1984 0.8591 0.6699
Mo 0.3393 0.1984 0.1699
Mo 0.6607 0.8016 0.6699
Mo 0.8016 0.1409 0.1699
Mo 0.8591 0.6607 0.1699
Se 0.0000 0.0000 0.4436
Se 0.0000 0.0000 0.9436
O 0.0863 0.5469 0.6247
O 0.1201 0.8723 0.5011
O 0.1219 0.2507 0.1818
O 0.1277 0.2478 0.5011
O 0.1287 0.8781 0.1818
O 0.1995 0.4045 0.8042
O 0.2051 0.8005 0.8042
O 0.2478 0.1201 0.0011
O 0.2507 0.1287 0.6818
O 0.4045 0.2051 0.3042
O 0.4531 0.5394 0.6247
O 0.4606 0.9137 0.6247
O 0.5394 0.0863 0.1247
O 0.5469 0.4606 0.1247
O 0.5955 0.7949 0.8042
O 0.7493 0.8713 0.1818
O 0.7522 0.8799 0.5011
O 0.7949 0.1995 0.3042
O 0.8005 0.5955 0.3042
O 0.8713 0.1219 0.6818
O 0.8723 0.7522 0.0011
O 0.8781 0.7493 0.6818
O 0.8799 0.1277 0.0011
O 0.9137 0.4531 0.1247

Principal peaks in the range 10° ≤ 2θ ≤ 90°, by intensity:
2θ = 28.04°, rel. 100
2θ = 28.80°, rel. 81
2θ = 25.48°, rel. 45
2θ = 49.33°, rel. 32
2θ = 46.03°, rel. 27
2θ = 14.15°, rel. 26
2θ = 44.89°, rel. 25
2θ = 28.52°, rel. 24
2θ = 15.55°, rel. 18
2θ = 56.33°, rel. 18



(3)
Diffraction record for Rb4Sm3MoO8. The powder diffraction line list is theoretical, not measured: it uses a crystal structure in Alexandria, relaxed with PBE+U and Cu Kα (weighted mean of Kα1 and Kα2).

Cell and atoms:
Cell lengths 7.7247, 7.7247, 7.7247 Å; angles 54.64, 54.64, 54.64 degrees
Fractional coordinates of all 16 atoms:
Rb 0.0000 0.0000 0.0000
Rb 0.0000 0.5000 0.5000
Rb 0.5000 0.0000 0.5000
Rb 0.5000 0.5000 0.0000
Sm 0.0000 0.0000 0.5000
Sm 0.0000 0.5000 0.0000
Sm 0.5000 0.0000 0.0000
Mo 0.5000 0.5000 0.5000
O 0.2267 0.2267 0.2267
O 0.2379 0.7195 0.7195
O 0.2805 0.2805 0.7621
O 0.2805 0.7621 0.2805
O 0.7195 0.2379 0.7195
O 0.7195 0.7195 0.2379
O 0.7621 0.2805 0.2805
O 0.7733 0.7733 0.7733

Principal peaks in the range 10° ≤ 2θ ≤ 90°, by intensity:
2θ = 34.45°, rel. 100
2θ = 30.51°, rel. 80
2θ = 27.23°, rel. 40
2θ = 47.40°, rel. 35
2θ = 51.56°, rel. 32
2θ = 59.28°, rel. 28
2θ = 13.52°, rel. 22
2θ = 55.52°, rel. 20
2θ = 63.49°, rel. 16
2θ = 86.10°, rel. 14



(4)
Diffraction record for RbSnMoO6. The powder diffraction line list is theoretical, not measured: it uses a crystal structure in Alexandria, relaxed with PBE+U and Cu Kα (weighted mean of Kα1 and Kα2).

Cell and atoms:
Cell lengths 5.5915, 5.5915, 6.1109 Å; angles 90.62, 90.62, 120.53 degrees
Fractional coordinates of all 9 atoms:
Rb 0.0000 0.0000 0.0000
Sn 0.3215 0.6785 0.5000
Mo 0.6779 0.3221 0.5000
O 0.4131 0.0160 0.3122
O 0.4160 0.4047 0.6606
O 0.5953 0.5840 0.3394
O 0.6080 0.0281 0.6905
O 0.9719 0.3920 0.3095
O 0.9840 0.5869 0.6878

Principal peaks in the range 10° ≤ 2θ ≤ 90°, by intensity:
2θ = 23.40°, rel. 100
2θ = 14.50°, rel. 96
2θ = 23.30°, rel. 78
2θ = 23.74°, rel. 72
2θ = 43.64°, rel. 65
2θ = 32.02°, rel. 58
2θ = 29.24°, rel. 32
2θ = 32.29°, rel. 31
2θ = 44.16°, rel. 28
2θ = 52.00°, rel. 26



What did the first record say?
Diffraction record for Rb2ScMoO6. The powder diffraction line list is theoretical, not measured: it uses a crystal structure in Alexandria, relaxed with PBE+U and Cu Kα (weighted mean of Kα1 and Kα2).

Cell and atoms:
Cell lengths 6.4241, 6.4241, 5.5126 Å; angles 90.00, 90.00, 120.00 degrees
Fractional coordinates of all 10 atoms:
Rb 0.3333 0.6667 0.1656
Rb 0.6667 0.3333 0.8344
Sc 0.0000 0.0000 0.5000
Mo 0.0000 0.0000 0.0000
O 0.1356 0.2711 0.7762
O 0.1356 0.8644 0.7762
O 0.2711 0.1356 0.2238
O 0.7289 0.8644 0.7762
O 0.8644 0.1356 0.2238
O 0.8644 0.7289 0.2238

Principal peaks in the range 10° ≤ 2θ ≤ 90°, by intensity:
2θ = 27.77°, rel. 100
2θ = 22.71°, rel. 48
2θ = 15.93°, rel. 47
2θ = 36.17°, rel. 47
2θ = 36.38°, rel. 42
2θ = 46.38°, rel. 39
2θ = 54.92°, rel. 36
2θ = 16.08°, rel. 36
2θ = 32.26°, rel. 30
2θ = 57.37°, rel. 19



Please write out number 1 again, unchanged.
Diffraction record for Rb2ScMoO6. The powder diffraction line list is theoretical, not measured: it uses a crystal structure in Alexandria, relaxed with PBE+U and Cu Kα (weighted mean of Kα1 and Kα2).

Cell and atoms:
Cell lengths 6.4241, 6.4241, 5.5126 Å; angles 90.00, 90.00, 120.00 degrees
Fractional coordinates of all 10 atoms:
Rb 0.3333 0.6667 0.1656
Rb 0.6667 0.3333 0.8344
Sc 0.0000 0.0000 0.5000
Mo 0.0000 0.0000 0.0000
O 0.1356 0.2711 0.7762
O 0.1356 0.8644 0.7762
O 0.2711 0.1356 0.2238
O 0.7289 0.8644 0.7762
O 0.8644 0.1356 0.2238
O 0.8644 0.7289 0.2238

Principal peaks in the range 10° ≤ 2θ ≤ 90°, by intensity:
2θ = 27.77°, rel. 100
2θ = 22.71°, rel. 48
2θ = 15.93°, rel. 47
2θ = 36.17°, rel. 47
2θ = 36.38°, rel. 42
2θ = 46.38°, rel. 39
2θ = 54.92°, rel. 36
2θ = 16.08°, rel. 36
2θ = 32.26°, rel. 30
2θ = 57.37°, rel. 19